Computed XRD peak list of Ba2Cd2O5 for λ = 1.5418 Å (Cu Kα), from DFT lattice parameters and positions (PBE).

Top 12 peaks for 2θ = 10–80°, low angle first:
d [Å], I (rel.)
3.014, 44
2.987, 100
2.131, 28
2.094, 12
1.735, 40
1.720, 19
1.507, 9
1.494, 15
1.348, 8
1.346, 9
1.327, 8
1.223, 8

Crystal structure
```
Ba2Cd2O5
1.0
4.263 0.000 0.000
0.000 4.263 0.000
0.000 0.000 8.375
Ba Cd O
2 2 5
Direct
0.000 0.000 0.000 Ba
0.000 0.000 0.500 Ba
0.500 0.500 0.242 Cd
0.500 0.500 0.758 Cd
0.000 0.500 0.213 O
0.000 0.500 0.787 O
0.500 0.000 0.213 O
0.500 0.000 0.787 O
0.500 0.500 0.500 O
```



Computed XRD peak list of BaCdPtO3 for λ = 1.5418 Å (Cu Kα), from DFT lattice parameters and positions (PBE).

Top 12 peaks for 2θ = 10–80°, low angle first:
d [Å], I (rel.)
6.563, 25
2.970, 86
2.831, 100
2.735, 86
2.188, 20
2.022, 24
1.856, 18
1.708, 32
1.645, 39
1.574, 27
1.485, 12
1.367, 13

Crystal structure
```
BaCdPtO3
1.0
-1.856 2.022 6.563
1.856 -2.022 6.563
1.856 2.022 -6.563
Ba Cd Pt O
1 1 1 3
Direct
0.000 0.000 0.000 Ba
0.299 0.299 0.000 Cd
0.666 0.666 0.000 Pt
0.191 0.691 0.500 O
0.515 0.515 0.000 O
0.851 0.351 0.500 O
```



Computed XRD peak list of BaSrCd2S2O2 for λ = 1.5418 Å (Cu Kα), from DFT lattice parameters and positions (PBE).

Top 12 peaks for 2θ = 10–80°, low angle first:
d [Å], I (rel.)
3.559, 12
3.423, 44
3.122, 32
3.092, 100
2.705, 45
2.055, 49
2.044, 10
1.797, 30
1.716, 33
1.711, 18
1.353, 11
1.315, 14

Crystal structure
```
BaSrCd2S2O2
1.0
4.110 0.000 0.000
-2.055 3.559 0.000
0.000 0.000 12.487
Ba Sr Cd S O
1 1 2 2 2
Direct
0.000 0.000 0.000 Ba
0.333 0.667 0.502 Sr
0.667 0.333 0.244 Cd
0.667 0.333 0.727 Cd
0.000 0.000 0.327 S
0.333 0.667 0.809 S
0.667 0.333 0.072 O
0.667 0.333 0.555 O
```



Computed XRD peak list of Ba2Cd2TeSO2 for λ = 1.5418 Å (Cu Kα), from DFT lattice parameters and positions (PBE).

Top 12 peaks for 2θ = 10–80°, low angle first:
d [Å], I (rel.)
3.618, 72
3.254, 100
3.225, 34
2.834, 93
2.450, 18
2.176, 77
1.867, 45
1.809, 18
1.804, 37
1.726, 21
1.417, 22
1.352, 19

Crystal structure
```
Ba2Cd2TeSO2
1.0
4.352 0.000 0.000
-2.176 3.769 0.000
0.000 0.000 12.900
Ba Cd Te S O
2 2 1 1 2
Direct
0.000 0.000 0.000 Ba
0.333 0.667 0.470 Ba
0.667 0.333 0.219 Cd
0.667 0.333 0.689 Cd
0.333 0.667 0.787 Te
0.000 0.000 0.284 S
0.667 0.333 0.052 O
0.667 0.333 0.523 O
```